The following is a calculated X-ray diffraction stick pattern of CuMo2PbO8. It was derived from a cell relaxed with GGA+U, using Cu Kα (λ = 1.5418 Å).
Intensities are scaled so that the largest is 100.

Atomic structure:
```
CuMo2PbO8
1.0
5.822 0.000 0.000
-2.911 5.042 0.000
0.000 0.000 6.724
Cu Mo Pb O
1 2 1 8
direct
0.000 0.000 0.000
0.333 0.667 0.267
0.667 0.333 0.733
0.000 0.000 0.500
0.161 0.321 0.192
0.161 0.839 0.192
0.321 0.161 0.808
0.333 0.667 0.529
0.667 0.333 0.471
0.679 0.839 0.192
0.839 0.161 0.808
0.839 0.679 0.808
```

Principal peaks in the range 5° ≤ 2θ ≤ 70°, low angle first:
2θ 13.2, I = 24.2
2θ 17.6, I = 53.9
2θ 22.0, I = 95.0
2θ 30.7, I = 100.0
2θ 32.0, I = 92.4
2θ 33.5, I = 28.9
2θ 44.2, I = 21.1
2θ 44.9, I = 49.9
2θ 49.7, I = 22.7
2θ 54.6, I = 26.1
2θ 55.4, I = 41.9
2θ 64.0, I = 41.5